# 1
Diffraction record for Er2Tl3Hg. The powder X-ray diffraction pattern is theoretical, not measured: it uses a crystal structure in Alexandria, relaxed with GGA-PBE and a wavelength of 1.5418 Å.
Lines closer than 0.1° are merged.

Structure:
```
data_Er2Tl3Hg
_cell_length_a 16.403
_cell_length_b 6.589
_cell_length_c 6.604
_cell_angle_alpha 90.00
_cell_angle_beta 113.67
_cell_angle_gamma 90.00
_space_group_name_H-M_alt 'C 1 2/c 1'
_space_group_IT_number 15
loop_
_space_group_symop_operation_xyz
'x,y,z'
'-x,-y,-z'
'-x,y,-z+1/2'
'x,-y,z+1/2'
'x+1/2,y+1/2,z'
'-x+1/2,-y+1/2,-z'
'-x+1/2,y+1/2,-z+1/2'
'x+1/2,-y+1/2,z+1/2'
loop_
_atom_site_label
_atom_site_type_symbol
_atom_site_fract_x
_atom_site_fract_y
_atom_site_fract_z
Er1 Er 0.147 0.244 0.147
Tl1 Tl 0.000 0.500 0.250
Tl2 Tl 0.149 0.245 0.649
Hg1 Hg 0.000 0.000 0.250
```

Largest 10 diffraction maxima, in order of rising 2θ, 10 to 90 degrees two-theta:
2θ (°)  I (rel.)
11.78  12
27.03  11
29.58  63
35.86  24
36.25  100
38.60  53
53.71  30
68.27  16
68.36  16
68.65  20

***

# 2
Diffraction record for Er6Tl5Hg. The powder X-ray diffraction pattern is theoretical, not measured: it uses a crystal structure in Alexandria, relaxed with GGA-PBE and a wavelength of 1.5418 Å.
Lines closer than 0.1° are merged.

Structure:
```
data_Er6Tl5Hg
_cell_length_a 5.337
_cell_length_b 16.043
_cell_length_c 7.419
_cell_angle_alpha 90.00
_cell_angle_beta 90.00
_cell_angle_gamma 90.00
_space_group_name_H-M_alt 'C m m m'
_space_group_IT_number 65
_space_group_name_Hall '-C 2 2'
loop_
_atom_site_label
_atom_site_type_symbol
_atom_site_fract_x
_atom_site_fract_y
_atom_site_fract_z
Er1 Er 0.000 0.000 0.247
Er2 Er 0.000 0.335 0.248
Tl1 Tl 0.000 0.165 0.000
Tl2 Tl 0.000 0.167 0.500
Tl3 Tl 0.000 0.500 0.500
Hg1 Hg 0.000 0.500 0.000
```

Largest 10 diffraction maxima, in order of rising 2θ, 10 to 90 degrees two-theta:
2θ (°)  I (rel.)
33.55  51
33.87  100
48.18  19
49.12  9
60.19  39
60.80  19
71.26  12
80.44  4
80.56  9
81.99  8

***

# 3
Diffraction record for ErTmHg6. The powder X-ray diffraction pattern is theoretical, not measured: it uses a crystal structure in Alexandria, relaxed with GGA-PBE and a wavelength of 1.5418 Å.
Lines closer than 0.1° are merged.

Structure:
```
data_ErTmHg6
_cell_length_a 4.474
_cell_length_b 4.474
_cell_length_c 9.606
_cell_angle_alpha 90.00
_cell_angle_beta 90.00
_cell_angle_gamma 90.00
_space_group_name_H-M_alt 'P 4/m m m'
_space_group_IT_number 123
_space_group_name_Hall '-P 4 2'
loop_
_atom_site_label
_atom_site_type_symbol
_atom_site_fract_x
_atom_site_fract_y
_atom_site_fract_z
Er1 Er 0.000 0.000 0.000
Tm1 Tm 0.000 0.000 0.500
Hg1 Hg 0.000 0.500 0.251
Hg2 Hg 0.500 0.500 0.000
Hg3 Hg 0.500 0.500 0.500
```

Largest 10 diffraction maxima, in order of rising 2θ, 10 to 90 degrees two-theta:
2θ (°)  I (rel.)
33.93  100
37.45  19
40.31  31
56.19  24
58.33  11
65.32  15
69.22  26
71.40  12
79.88  2
87.13  4